Structure and theoretical X-ray diffraction stick pattern of SrPt3O4 (a structure optimized by DFT (GGA-PBE); CuKα).
Lines closer than 0.1° are merged.

```
SrPt3O4
1.0
5.9422 0.0000 0.0000
0.0000 5.9422 0.0000
0.0000 0.0000 5.9422
Sr Pt O
2 6 8
Direct
0.0000 0.0000 0.0000
0.5000 0.5000 0.5000
0.0000 0.2500 0.5000
0.0000 0.7500 0.5000
0.2500 0.5000 0.0000
0.5000 0.0000 0.2500
0.5000 0.0000 0.7500
0.7500 0.5000 0.0000
0.2500 0.2500 0.2500
0.2500 0.2500 0.7500
0.2500 0.7500 0.2500
0.2500 0.7500 0.7500
0.7500 0.2500 0.2500
0.7500 0.2500 0.7500
0.7500 0.7500 0.2500
0.7500 0.7500 0.7500
```

Principal peaks in the range 10 to 90 degrees two-theta, by angle:
(hkl)  2θ/deg  Rel. int.
1 1 0  21.1  11
2 0 0  30.1  10
2 1 0  33.7  100
2 1 1  37.1  42
2 2 2  53.4  19
3 2 0  55.8  24
3 2 1  58.1  23
4 0 0  62.5  15
4 2 1  73.0  22
5 2 0  88.6  21